Ho2TlSb: calculated X-ray powder pattern (Cu Kα X-rays), based on a cell relaxed with PBE.
Intensities are scaled so that the largest is 100.

Structural model:
a = 8.229 Å, b = 4.062 Å, c = 14.182 Å
α = 90.00°, β = 90.00°, γ = 90.00°
Element x y z (fractional)
Ho (0.188, 0.250, 0.008)
Ho (0.190, 0.750, 0.763)
Ho (0.310, 0.250, 0.263)
Ho (0.312, 0.750, 0.508)
Ho (0.688, 0.250, 0.492)
Ho (0.690, 0.750, 0.737)
Ho (0.810, 0.250, 0.237)
Ho (0.812, 0.750, 0.992)
Tl (0.044, 0.250, 0.416)
Tl (0.456, 0.750, 0.916)
Tl (0.544, 0.250, 0.084)
Tl (0.956, 0.750, 0.584)
Sb (0.067, 0.750, 0.159)
Sb (0.433, 0.250, 0.659)
Sb (0.567, 0.750, 0.341)
Sb (0.933, 0.250, 0.841)

Peak list (10 most intense, 2θ = 10–80°, by intensity)
2.678 Å, rel. 100.0, (2 1 2)
3.240 Å, rel. 77.0, (1 1 2)
2.688 Å, rel. 74.4, (2 0 4)
2.885 Å, rel. 49.5, (1 1 3)
1.620 Å, rel. 45.8, (2 2 4)
1.450 Å, rel. 39.2, (4 1 6)
2.326 Å, rel. 39.1, (0 1 5)
2.466 Å, rel. 37.9, (2 1 3)
2.031 Å, rel. 34.4, (0 2 0)
3.104 Å, rel. 31.9, (2 0 3)